For SrAcNi4, a structure optimized by DFT (GGA-PBE) gives the theoretical X-ray powder pattern in this record (Cu Kα, 1.54184 Å).

Main lines, in order of rising 2θ (5° ≤ 2θ ≤ 70°):
2θ/deg  I_rel  (hkl)
20.52  214  1 1 1
23.74  125  2 0 0
33.82  573  2 2 0
39.89  1000  3 1 1
41.74  191  2 2 2
53.27  60  3 3 1
54.76  56  4 2 0
60.50  219  4 2 2
64.60  316  5 1 1

Atomic structure:
a b c (Å): 7.4963 7.4963 7.4963
angles (deg): 90.00 90.00 90.00
Space group F-43m (No. 216)
Asymmetric unit:
Sr1 0.0000 0.0000 0.0000 (multiplicity 4)
Ac1 0.2500 0.2500 0.2500 (multiplicity 4)
Ni1 0.1251 0.1251 0.6251 (multiplicity 16)